Starting from a PBE+U-relaxed structure, the X-ray powder pattern of TbAgMoO5 was computed for Cu Kα X-rays.
Intensities are scaled so that the largest is 100.

Atomic structure:
```
data_TbAgMoO5
_chemical_formula_sum 'Tb4 Ag4 Mo4 O20'
_cell_length_a 8.704
_cell_length_b 9.135
_cell_length_c 8.507
_cell_angle_alpha 90.00
_cell_angle_beta 118.87
_cell_angle_gamma 90.00
_space_group_name_H-M_alt 'C 1 2/c 1'
_space_group_IT_number 15
loop_
_space_group_symop_operation_xyz
'x,y,z'
'-x,-y,-z'
'-x,y,-z+1/2'
'x,-y,z+1/2'
'x+1/2,y+1/2,z'
'-x+1/2,-y+1/2,-z'
'-x+1/2,y+1/2,-z+1/2'
'x+1/2,-y+1/2,z+1/2'
loop_
_atom_site_label
_atom_site_fract_x
_atom_site_fract_y
_atom_site_fract_z
Tb1 0.000 0.000 0.000
Ag1 0.000 0.298 0.250
Mo1 0.000 0.362 0.750
O1 0.000 0.065 0.250
O2 0.007 0.247 0.584
O3 0.193 0.478 0.852
```

Most intense lines, 10 to 80 degrees two-theta, in order of falling intensity:
- 2θ = 23.3°, I 100, hkl 2 0 0
- 2θ = 23.1°, I 99, hkl 1 1 -2
- 2θ = 31.6°, I 61, hkl 1 3 0
- 2θ = 46.6°, I 35, hkl 3 3 0
- 2θ = 31.0°, I 32, hkl 0 2 2
- 2θ = 31.1°, I 30, hkl 2 2 -2
- 2θ = 33.1°, I 24, hkl 3 1 -2
- 2θ = 32.9°, I 24, hkl 1 1 2